Diffraction record for Li2CuF5. The powder diffraction line list is simulated, not measured: it uses a GGA-PBE-relaxed structure and Cu Kα (weighted mean of Kα1 and Kα2).

Peak list (6 most intense, 2θ = 10–80°, in order of rising 2θ)
2θ = 19.07°, rel. 711; 2θ = 20.19°, rel. 1000; 2θ = 24.69°, rel. 462; 2θ = 25.59°, rel. 295; 2θ = 29.39°, rel. 528; 2θ = 52.07°, rel. 312

Cell: 7.6699 4.9913 9.8994 Å, 90.00 109.90 90.00°
Positions (direct):
Li 0.1027 0.0158 0.3732
Li 0.1027 0.4842 0.8732
Li 0.3436 0.5134 0.1748
Li 0.3436 0.9866 0.6748
Li 0.6564 0.0134 0.3252
Li 0.6564 0.4866 0.8252
Li 0.8973 0.5158 0.1268
Li 0.8973 0.9842 0.6268
Cu 0.0000 0.0000 0.0000
Cu 0.0000 0.5000 0.5000
Cu 0.5000 0.0000 0.0000
Cu 0.5000 0.5000 0.5000
F 0.0375 0.6496 0.6872
F 0.0375 0.8504 0.1872
F 0.1280 0.1779 0.5766
F 0.1280 0.3221 0.0766
F 0.2272 0.6994 0.5075
F 0.2272 0.8006 0.0075
F 0.3671 0.2473 0.8758
F 0.3671 0.2527 0.3758
F 0.4811 0.7146 0.3469
F 0.4811 0.7854 0.8469
F 0.5189 0.2146 0.1531
F 0.5189 0.2854 0.6531
F 0.6329 0.7473 0.6242
F 0.6329 0.7527 0.1242
F 0.7728 0.1994 0.9925
F 0.7728 0.3006 0.4925
F 0.8720 0.6779 0.9234
F 0.8720 0.8221 0.4234
F 0.9625 0.1496 0.8128
F 0.9625 0.3504 0.3128

Diffraction record for Cs3Te22. The powder diffraction line list is simulated, not measured: it uses a GGA-PBE-relaxed structure and Cu Kα (weighted mean of Kα1 and Kα2).

Peak list (6 most intense, 2θ = 10–80°, in order of rising 2θ)
2θ = 24.26°, rel. 1000; 2θ = 29.83°, rel. 959; 2θ = 30.44°, rel. 652; 2θ = 41.72°, rel. 317; 2θ = 45.87°, rel. 396; 2θ = 48.85°, rel. 373

Cell: 12.4241 12.4241 12.4241 Å, 134.14 134.14 66.87°
Positions (direct):
Cs 0.0000 0.0000 0.0000
Cs 0.3271 0.3271 0.0000
Cs 0.6729 0.6729 0.0000
Te 0.0000 0.5000 0.5000
Te 0.0262 0.1689 0.4285
Te 0.0949 0.4918 0.2012
Te 0.1063 0.9051 0.3970
Te 0.1689 0.7404 0.1427
Te 0.2596 0.4022 0.4285
Te 0.2906 0.8937 0.7988
Te 0.3050 0.6017 0.9067
Te 0.3983 0.3050 0.7034
Te 0.4022 0.9738 0.1427
Te 0.4918 0.2906 0.3970
Te 0.5000 0.0000 0.5000
Te 0.5082 0.7094 0.6030
Te 0.5978 0.0262 0.8573
Te 0.6017 0.6950 0.2966
Te 0.6950 0.3983 0.0933
Te 0.7094 0.1063 0.2012
Te 0.7404 0.5978 0.5715
Te 0.8311 0.2596 0.8573
Te 0.8937 0.0949 0.6030
Te 0.9051 0.5082 0.7988
Te 0.9738 0.8311 0.5715

Diffraction record for YNp3. The powder diffraction line list is simulated, not measured: it uses a GGA-PBE-relaxed structure and Cu Kα (weighted mean of Kα1 and Kα2).

Peak list (6 most intense, 2θ = 10–80°, in order of rising 2θ)
2θ = 19.01°, rel. 89; 2θ = 33.23°, rel. 1000; 2θ = 38.56°, rel. 505; 2θ = 55.67°, rel. 355; 2θ = 66.40°, rel. 422; 2θ = 69.77°, rel. 122

Cell: 4.6695 4.6695 4.6695 Å, 90.00 90.00 90.00°
Positions (direct):
Y 0.0000 0.0000 0.0000
Np 0.0000 0.5000 0.5000
Np 0.5000 0.0000 0.5000
Np 0.5000 0.5000 0.0000

Diffraction record for RuPbO3. The powder diffraction line list is simulated, not measured: it uses a GGA-PBE-relaxed structure and Cu Kα (weighted mean of Kα1 and Kα2).

Peak list (6 most intense, 2θ = 10–80°, in order of rising 2θ)
2θ = 31.63°, rel. 1000; 2θ = 39.00°, rel. 103; 2θ = 45.34°, rel. 276; 2θ = 56.34°, rel. 404; 2θ = 66.06°, rel. 173; 2θ = 75.10°, rel. 178

Cell: 4.0001 4.0001 4.0001 Å, 90.00 90.00 90.00°
Positions (direct):
Ru 0.0000 0.0000 0.0000
Pb 0.5000 0.5000 0.5000
O 0.0000 0.0000 0.5000
O 0.0000 0.5000 0.0000
O 0.5000 0.0000 0.0000

Diffraction record for Ho4MgTi2O10. The powder diffraction line list is simulated, not measured: it uses a GGA-PBE-relaxed structure and Cu Kα (weighted mean of Kα1 and Kα2).

Peak list (6 most intense, 2θ = 10–80°, in order of rising 2θ)
2θ = 16.72°, rel. 377; 2θ = 22.86°, rel. 413; 2θ = 23.16°, rel. 461; 2θ = 29.98°, rel. 1000; 2θ = 32.25°, rel. 521; 2θ = 36.56°, rel. 333

Cell: 4.1242 10.6049 5.8773 Å, 90.00 109.42 90.00°
Positions (direct):
Ho 0.0000 0.1773 0.0000
Ho 0.0000 0.8227 0.0000
Ho 0.2970 0.3132 0.5604
Ho 0.2970 0.6868 0.5604
Mg 0.6737 0.5000 0.2169
Ti 0.2804 0.0000 0.6311
Ti 0.9356 0.5000 0.8489
O 0.0374 0.3729 0.1763
O 0.0374 0.6271 0.1763
O 0.1991 0.1263 0.3865
O 0.1991 0.8737 0.3865
O 0.4262 0.5000 0.8452
O 0.4402 0.1539 0.8665
O 0.4402 0.8461 0.8665
O 0.8677 0.3253 0.7022
O 0.8677 0.6747 0.7022
O 0.8910 0.0000 0.7338